Record 1
Simulated X-ray diffraction stick pattern
Compound: Tb3Sc2Pb3
Radiation: CuKα
Structure: a cell relaxed with PBE
Lines closer than 0.1° are merged.

Structural model:
abc: 8.9171 8.9171 6.3837
angles: 90.00 90.00 120.00
Element x y z (fractional)
1 Tb 0.0000 0.2382 0.2500
2 Tb 0.0000 0.7618 0.7500
3 Tb 0.2382 0.0000 0.2500
4 Tb 0.2382 0.2382 0.7500
5 Tb 0.7618 0.0000 0.7500
6 Tb 0.7618 0.7618 0.2500
7 Sc 0.3333 0.6667 0.0000
8 Sc 0.3333 0.6667 0.5000
9 Sc 0.6667 0.3333 0.0000
10 Sc 0.6667 0.3333 0.5000
11 Pb 0.0000 0.4002 0.7500
12 Pb 0.0000 0.5998 0.2500
13 Pb 0.4002 0.0000 0.7500
14 Pb 0.4002 0.4002 0.2500
15 Pb 0.5998 0.0000 0.2500
16 Pb 0.5998 0.5998 0.7500

Principal peaks in the range 15 to 90 degrees two-theta, low angle first:
2θ = 19.9°, d = 4.459 Å, I = 23; 2θ = 28.0°, d = 3.192 Å, I = 37; 2θ = 33.8°, d = 2.654 Å, I = 100; 2θ = 34.6°, d = 2.595 Å, I = 31; 2θ = 34.9°, d = 2.574 Å, I = 16; 2θ = 44.6°, d = 2.031 Å, I = 19; 2θ = 53.3°, d = 1.719 Å, I = 28; 2θ = 67.4°, d = 1.390 Å, I = 17



Record 2
Simulated X-ray diffraction stick pattern
Compound: ScZnGaSi
Radiation: CuKα
Structure: a cell relaxed with PBE
Lines closer than 0.1° are merged.

Structural model:
abc: 3.9152 4.0153 4.1758
angles: 90.00 90.00 90.00
Element x y z (fractional)
1 Sc 0.0000 0.0000 0.0000
2 Zn 0.0000 0.5000 0.5000
3 Ga 0.5000 0.0000 0.5000
4 Si 0.5000 0.5000 0.0000

Principal peaks in the range 15 to 90 degrees two-theta, low angle first:
2θ = 21.3°, d = 4.176 Å, I = 12; 2θ = 38.7°, d = 2.327 Å, I = 100; 2θ = 43.3°, d = 2.088 Å, I = 18; 2θ = 45.2°, d = 2.008 Å, I = 16; 2θ = 46.4°, d = 1.958 Å, I = 15; 2θ = 76.4°, d = 1.247 Å, I = 12; 2θ = 79.0°, d = 1.212 Å, I = 11; 2θ = 80.8°, d = 1.190 Å, I = 11



Record 3
Simulated X-ray diffraction stick pattern
Compound: Sn2HgTeS3
Radiation: CuKα
Structure: a cell relaxed with PBE
Lines closer than 0.1° are merged.

Structural model:
abc: 8.3747 8.3747 8.3747
angles: 57.58 57.58 57.58
Element x y z (fractional)
1 Sn 0.0000 0.0000 0.0000
2 Sn 0.0000 0.0000 0.5000
3 Sn 0.0000 0.5000 0.0000
4 Sn 0.5000 0.0000 0.0000
5 Hg 0.4084 0.4084 0.4084
6 Hg 0.5916 0.5916 0.5916
7 Te 0.2569 0.2569 0.2569
8 Te 0.7431 0.7431 0.7431
9 S 0.2135 0.7524 0.7524
10 S 0.2476 0.2476 0.7865
11 S 0.2476 0.7865 0.2476
12 S 0.7524 0.2135 0.7524
13 S 0.7524 0.7524 0.2135
14 S 0.7865 0.2476 0.2476

Principal peaks in the range 15 to 90 degrees two-theta, low angle first:
2θ = 22.0°, d = 4.033 Å, I = 100; 2θ = 24.8°, d = 3.585 Å, I = 62; 2θ = 25.5°, d = 3.489 Å, I = 58; 2θ = 25.9°, d = 3.445 Å, I = 66; 2θ = 30.8°, d = 2.903 Å, I = 55; 2θ = 34.0°, d = 2.635 Å, I = 63; 2θ = 40.4°, d = 2.232 Å, I = 45; 2θ = 44.9°, d = 2.017 Å, I = 80



Record 4
Simulated X-ray diffraction stick pattern
Compound: DyYPd6
Radiation: CuKα
Structure: a cell relaxed with PBE
Lines closer than 0.1° are merged.

Structural model:
abc: 4.1293 4.1293 8.2591
angles: 90.00 90.00 90.00
Element x y z (fractional)
1 Dy 0.0000 0.0000 0.0000
2 Y 0.0000 0.0000 0.5000
3 Pd 0.0000 0.5000 0.2488
4 Pd 0.0000 0.5000 0.7512
5 Pd 0.5000 0.0000 0.2488
6 Pd 0.5000 0.0000 0.7512
7 Pd 0.5000 0.5000 0.0000
8 Pd 0.5000 0.5000 0.5000

Principal peaks in the range 15 to 90 degrees two-theta, low angle first:
2θ = 24.1°, d = 3.693 Å, I = 2; 2θ = 32.5°, d = 2.753 Å, I = 1; 2θ = 37.7°, d = 2.384 Å, I = 100; 2θ = 43.8°, d = 2.065 Å, I = 49; 2θ = 45.3°, d = 2.003 Å, I = 1; 2θ = 63.7°, d = 1.460 Å, I = 31; 2θ = 76.5°, d = 1.245 Å, I = 37; 2θ = 80.6°, d = 1.192 Å, I = 11



Record 5
Simulated X-ray diffraction stick pattern
Compound: Ge2BI8
Radiation: CuKα
Structure: a cell relaxed with PBE
Lines closer than 0.1° are merged.

Structural model:
abc: 9.6188 9.6188 8.3609
angles: 114.09 114.09 88.18
Element x y z (fractional)
1 Ge 0.2214 0.2214 0.0915
2 Ge 0.7786 0.7786 0.9085
3 B 0.0000 0.0000 0.0000
4 I 0.0701 0.0701 0.2978
5 I 0.1757 0.4878 0.3052
6 I 0.2661 0.2661 0.8239
7 I 0.4878 0.1757 0.3052
8 I 0.5122 0.8243 0.6948
9 I 0.7339 0.7339 0.1761
10 I 0.8243 0.5122 0.6948
11 I 0.9299 0.9299 0.7022

Principal peaks in the range 15 to 90 degrees two-theta, low angle first:
2θ = 15.6°, d = 5.684 Å, I = 83; 2θ = 21.4°, d = 4.153 Å, I = 81; 2θ = 22.6°, d = 3.936 Å, I = 100; 2θ = 25.9°, d = 3.440 Å, I = 49; 2θ = 26.3°, d = 3.394 Å, I = 69; 2θ = 28.7°, d = 3.109 Å, I = 85; 2θ = 33.5°, d = 2.675 Å, I = 76; 2θ = 37.1°, d = 2.422 Å, I = 64



Record 6
Simulated X-ray diffraction stick pattern
Compound: RbTi4Br7
Radiation: CuKα
Structure: a cell relaxed with PBE
Lines closer than 0.1° are merged.

Structural model:
abc: 4.8791 20.0775 7.1265
angles: 90.00 90.00 90.00
Element x y z (fractional)
1 Rb 0.2500 0.2500 0.2095
2 Rb 0.7500 0.7500 0.7905
3 Ti 0.2500 0.9997 0.8949
4 Ti 0.2500 0.5003 0.8949
5 Ti 0.2500 0.6113 0.1130
6 Ti 0.2500 0.8887 0.1130
7 Ti 0.7500 0.0003 0.1051
8 Ti 0.7500 0.1113 0.8870
9 Ti 0.7500 0.3887 0.8870
10 Ti 0.7500 0.4997 0.1051
11 Br 0.2500 0.0051 0.2725
12 Br 0.2500 0.1227 0.7481
13 Br 0.2500 0.3773 0.7481
14 Br 0.2500 0.4949 0.2725
15 Br 0.2500 0.6256 0.7539
16 Br 0.2500 0.7500 0.1459
17 Br 0.2500 0.8744 0.7539
18 Br 0.7500 0.1256 0.2461
19 Br 0.7500 0.2500 0.8541
20 Br 0.7500 0.3744 0.2461
21 Br 0.7500 0.5051 0.7275
22 Br 0.7500 0.6227 0.2519
23 Br 0.7500 0.8773 0.2519
24 Br 0.7500 0.9949 0.7275

Principal peaks in the range 15 to 90 degrees two-theta, low angle first:
2θ = 25.0°, d = 3.563 Å, I = 38; 2θ = 28.4°, d = 3.141 Å, I = 100; 2θ = 32.4°, d = 2.766 Å, I = 15; 2θ = 35.8°, d = 2.510 Å, I = 33; 2θ = 36.8°, d = 2.440 Å, I = 33; 2θ = 44.1°, d = 2.052 Å, I = 16; 2θ = 46.2°, d = 1.965 Å, I = 42; 2θ = 52.3°, d = 1.749 Å, I = 22



Record 7
Simulated X-ray diffraction stick pattern
Compound: BaHf4SnO12
Radiation: CuKα
Structure: a cell relaxed with PBE
Lines closer than 0.1° are merged.

Structural model:
abc: 8.2341 5.6866 5.6866
angles: 90.76 90.00 90.00
Element x y z (fractional)
1 Ba 0.0000 0.0000 0.0000
2 Hf 0.2528 0.0398 0.5238
3 Hf 0.2528 0.5238 0.0398
4 Hf 0.7472 0.0398 0.5238
5 Hf 0.7472 0.5238 0.0398
6 Sn 0.5000 0.5659 0.5659
7 O 0.0000 0.0631 0.4983
8 O 0.0000 0.4983 0.0631
9 O 0.2412 0.7394 0.7394
10 O 0.2492 0.2301 0.8303
11 O 0.2492 0.8303 0.2301
12 O 0.3310 0.3678 0.3678
13 O 0.5000 0.5262 0.9217
14 O 0.5000 0.9217 0.5262
15 O 0.6690 0.3678 0.3678
16 O 0.7508 0.2301 0.8303
17 O 0.7508 0.8303 0.2301
18 O 0.7588 0.7394 0.7394

Principal peaks in the range 15 to 90 degrees two-theta, low angle first:
2θ = 19.0°, d = 4.679 Å, I = 57; 2θ = 21.6°, d = 4.117 Å, I = 39; 2θ = 31.0°, d = 2.886 Å, I = 100; 2θ = 31.2°, d = 2.867 Å, I = 87; 2θ = 31.5°, d = 2.843 Å, I = 93; 2θ = 55.1°, d = 1.667 Å, I = 41; 2θ = 55.6°, d = 1.653 Å, I = 40; 2θ = 56.0°, d = 1.642 Å, I = 37



Record 8
Simulated X-ray diffraction stick pattern
Compound: Sr2NbGeO6
Radiation: CuKα
Structure: a cell relaxed with PBE
Lines closer than 0.1° are merged.

Structural model:
abc: 4.0313 4.0313 8.0350
angles: 90.00 90.00 90.00
Element x y z (fractional)
1 Sr 0.0000 0.0000 0.2322
2 Sr 0.0000 0.0000 0.7678
3 Nb 0.5000 0.5000 0.5000
4 Ge 0.5000 0.5000 0.0000
5 O 0.0000 0.5000 0.0000
6 O 0.0000 0.5000 0.5000
7 O 0.5000 0.0000 0.0000
8 O 0.5000 0.0000 0.5000
9 O 0.5000 0.5000 0.2485
10 O 0.5000 0.5000 0.7515

Principal peaks in the range 15 to 90 degrees two-theta, low angle first:
2θ = 31.4°, d = 2.847 Å, I = 100; 2θ = 45.0°, d = 2.016 Å, I = 24; 2θ = 45.1°, d = 2.009 Å, I = 11; 2θ = 55.9°, d = 1.645 Å, I = 26; 2θ = 56.0°, d = 1.642 Å, I = 12; 2θ = 65.5°, d = 1.425 Å, I = 7; 2θ = 65.6°, d = 1.423 Å, I = 13; 2θ = 74.4°, d = 1.275 Å, I = 11